# 1
Simulated X-ray powder pattern of CsTc2PO8 for CuKα, from a PBE-relaxed structure.
Intensities are scaled so that the largest is 100.

a b c (Å): 9.4860 9.4860 9.4860
angles (deg): 33.18 33.18 33.18
Atoms (fractional coordinates):
Cs: 0.0000 0.0000 0.0000
Tc: 0.2273 0.2273 0.2273
Tc: 0.7727 0.7727 0.7727
P: 0.5000 0.5000 0.5000
O: 0.1713 0.6073 0.6073
O: 0.2924 0.2924 0.2924
O: 0.3927 0.3927 0.8287
O: 0.3927 0.8287 0.3927
O: 0.6073 0.1713 0.6073
O: 0.6073 0.6073 0.1713
O: 0.7076 0.7076 0.7076
O: 0.8287 0.3927 0.3927

Principal peaks in the range 2θ = 5–70°, most intense first:
| 2θ (°) | d (Å) | I (rel.) |
| --- | --- | --- |
| 23.13 | 3.846 | 100 |
| 33.08 | 2.708 | 36 |
| 25.20 | 3.534 | 22 |
| 53.45 | 1.714 | 18 |
| 45.21 | 2.006 | 14 |
| 29.93 | 2.985 | 12 |
| 32.80 | 2.731 | 10 |
| 48.11 | 1.891 | 10 |
| 40.75 | 2.214 | 10 |
| 38.57 | 2.334 | 10 |

# 2
Simulated X-ray powder pattern of CsTiP2O7 for CuKα, from a PBE-relaxed structure.
Intensities are scaled so that the largest is 100.

a b c (Å): 7.8754 10.3817 8.4613
angles (deg): 90.00 104.96 90.00
Atoms (fractional coordinates):
Cs: 0.1995 0.1985 0.0457
Cs: 0.1995 0.3015 0.5457
Cs: 0.8005 0.6985 0.4543
Cs: 0.8005 0.8015 0.9543
Ti: 0.2406 0.6018 0.2577
Ti: 0.2406 0.8982 0.7577
Ti: 0.7594 0.1018 0.2423
Ti: 0.7594 0.3982 0.7423
P: 0.1297 0.5968 0.8309
P: 0.1297 0.9032 0.3309
P: 0.4244 0.6279 0.6817
P: 0.4244 0.8721 0.1817
P: 0.5756 0.1279 0.8183
P: 0.5756 0.3721 0.3183
P: 0.8703 0.0968 0.6691
P: 0.8703 0.4032 0.1691
O: 0.0115 0.0047 0.7631
O: 0.0115 0.4953 0.2631
O: 0.0912 0.7357 0.7694
O: 0.0912 0.7643 0.2694
O: 0.1609 0.5861 0.0159
O: 0.1609 0.9139 0.5159
O: 0.3130 0.5517 0.7919
O: 0.3130 0.9483 0.2919
O: 0.3235 0.6036 0.5034
O: 0.3235 0.8964 0.0034
O: 0.3931 0.0677 0.7719
O: 0.3931 0.4323 0.2719
O: 0.4337 0.7293 0.2297
O: 0.4337 0.7707 0.7297
O: 0.5663 0.2293 0.2703
O: 0.5663 0.2707 0.7703
O: 0.6069 0.5677 0.7281
O: 0.6069 0.9323 0.2281
O: 0.6765 0.1036 0.9966
O: 0.6765 0.3964 0.4966
O: 0.6870 0.0517 0.7081
O: 0.6870 0.4483 0.2081
O: 0.8391 0.0861 0.4841
O: 0.8391 0.4139 0.9841
O: 0.9088 0.2357 0.7306
O: 0.9088 0.2643 0.2306
O: 0.9885 0.5047 0.7369
O: 0.9885 0.9953 0.2369

Principal peaks in the range 2θ = 5–70°, most intense first:
| 2θ (°) | d (Å) | I (rel.) |
| --- | --- | --- |
| 28.90 | 3.090 | 100 |
| 28.65 | 3.116 | 81 |
| 28.33 | 3.150 | 59 |
| 27.83 | 3.206 | 49 |
| 23.39 | 3.804 | 44 |
| 24.81 | 3.588 | 32 |
| 28.00 | 3.187 | 30 |
| 21.90 | 4.058 | 27 |
| 23.51 | 3.785 | 26 |
| 49.53 | 1.840 | 17 |

# 3
Simulated X-ray powder pattern of CsTi3P5O19 for CuKα, from a PBE-relaxed structure.
Intensities are scaled so that the largest is 100.

a b c (Å): 10.1278 10.1278 8.9163
angles (deg): 95.69 95.69 112.83
Atoms (fractional coordinates):
Cs: 0.0746 0.9254 0.5000
Cs: 0.9254 0.0746 0.0000
Ti: 0.0102 0.5147 0.1619
Ti: 0.2594 0.4783 0.6694
Ti: 0.4783 0.2594 0.1694
Ti: 0.5147 0.0102 0.6619
Ti: 0.5379 0.7592 0.1508
Ti: 0.7592 0.5379 0.6508
P: 0.0901 0.6758 0.8444
P: 0.2776 0.4250 0.0303
P: 0.3072 0.7130 0.4116
P: 0.3443 0.9303 0.9742
P: 0.4250 0.2776 0.5303
P: 0.5951 0.7393 0.7898
P: 0.6758 0.0901 0.3444
P: 0.7130 0.3072 0.9116
P: 0.7393 0.5951 0.2898
P: 0.9303 0.3443 0.4742
O: 0.0417 0.6090 0.9858
O: 0.0570 0.3507 0.5854
O: 0.1529 0.4315 0.1138
O: 0.1678 0.6834 0.2982
O: 0.1734 0.8476 0.9070
O: 0.1928 0.6242 0.7702
O: 0.2268 0.3878 0.8570
O: 0.2817 0.5793 0.4939
O: 0.3036 0.3191 0.5834
O: 0.3191 0.3036 0.0834
O: 0.3393 0.8508 0.5275
O: 0.3507 0.0570 0.0854
O: 0.3878 0.2268 0.3570
O: 0.3938 0.8270 0.0502
O: 0.4142 0.9775 0.8339
O: 0.4147 0.5680 0.0668
O: 0.4315 0.1529 0.6138
O: 0.4389 0.7391 0.3257
O: 0.4519 0.6035 0.7530
O: 0.5680 0.4147 0.5668
O: 0.5793 0.2817 0.9939
O: 0.5912 0.8652 0.7063
O: 0.6035 0.4519 0.2530
O: 0.6090 0.0417 0.4858
O: 0.6242 0.1928 0.2702
O: 0.6315 0.7920 0.9631
O: 0.6695 0.9647 0.2305
O: 0.6834 0.1678 0.7982
O: 0.6974 0.7168 0.2387
O: 0.7168 0.6974 0.7387
O: 0.7391 0.4389 0.8257
O: 0.7920 0.6315 0.4631
O: 0.8270 0.3938 0.5502
O: 0.8476 0.1734 0.4070
O: 0.8508 0.3393 0.0275
O: 0.8652 0.5912 0.2063
O: 0.9647 0.6695 0.7305
O: 0.9775 0.4142 0.3339

Principal peaks in the range 2θ = 5–70°, most intense first:
| 2θ (°) | d (Å) | I (rel.) |
| --- | --- | --- |
| 23.40 | 3.802 | 100 |
| 21.10 | 4.211 | 96 |
| 28.46 | 3.136 | 52 |
| 24.80 | 3.590 | 46 |
| 25.84 | 3.448 | 30 |
| 14.57 | 6.081 | 24 |
| 23.55 | 3.778 | 23 |
| 36.13 | 2.486 | 23 |
| 31.82 | 2.812 | 17 |
| 29.27 | 3.051 | 17 |